Structure and theoretical PXRD pattern of Li3Cu4SnO8 (the PBE geometry in Alexandria; Cu Kα (weighted mean of Kα1 and Kα2)).

Main lines, sorted by position (2θ from 10° to 80°):
- 17.83°, d 4.973, I = 43
- 18.04°, d 4.918, I = 100
- 35.74°, d 2.512, I = 33
- 36.11°, d 2.487, I = 54
- 37.20°, d 2.417, I = 61
- 44.17°, d 2.051, I = 85
- 58.50°, d 1.578, I = 33
- 64.22°, d 1.450, I = 30

Crystal structure
a = 6.284 Å, b = 6.284 Å, c = 5.802 Å
α = 116.23°, β = 116.23°, γ = 54.97°
Atoms (fractional coordinates):
1 Li 0.000 0.000 0.000
2 Li 0.000 0.500 0.500
3 Li 0.500 0.000 0.500
4 Cu 0.000 0.000 0.500
5 Cu 0.000 0.500 0.000
6 Cu 0.500 0.000 0.000
7 Cu 0.500 0.500 0.000
8 Sn 0.500 0.500 0.500
9 O 0.199 0.199 0.740
10 O 0.236 0.704 0.738
11 O 0.280 0.280 0.247
12 O 0.296 0.764 0.262
13 O 0.704 0.236 0.738
14 O 0.720 0.720 0.753
15 O 0.764 0.296 0.262
16 O 0.801 0.801 0.260